For Ho3AsS3, a DFT-relaxed cell (GGA-PBE, Alexandria) gives the calculated powder XRD pattern in this record (Cu Kα X-rays).

The 6 most intense peaks (2θ = 10–90°), low angle first:
| d_spacing | Position (°2θ) | I/Imax | h k l |
| --- | --- | --- | --- |
| 3.926 | 22.65 | 243 | 1 1 0 |
| 3.365 | 26.49 | 1000 | 1 1 3 |
| 3.266 | 27.31 | 316 | 0 0 6 |
| 2.511 | 35.76 | 445 | 1 1 6 |
| 2.267 | 39.76 | 362 | 3 0 0 |
| 1.904 | 47.77 | 246 | 1 1 9 |

Atomic structure:
```
data_Ho3AsS3
_chemical_formula_sum 'Ho18 As6 S18'
_symmetry_space_group_name_H-M 'R -3'
_symmetry_Int_Tables_number 148
_symmetry_space_group_name_Hall '-R 3'
_cell_length_a 7.8524
_cell_length_b 7.8524
_cell_length_c 19.5961
_cell_angle_alpha 90.00
_cell_angle_beta 90.00
_cell_angle_gamma 120.00
loop_
_atom_site_label
_atom_site_type_symbol
_atom_site_fract_x
_atom_site_fract_y
_atom_site_fract_z
Ho1 Ho 0.0137 0.3915 0.4132
As1 As 0.0000 0.0000 0.1669
S1 S 0.0168 0.2804 0.6086
```

For AcPr3Pd2, a DFT-relaxed cell (GGA-PBE, Alexandria) gives the calculated powder XRD pattern in this record (Cu Kα X-rays).

The 6 most intense peaks (2θ = 10–90°), low angle first:
| d_spacing | Position (°2θ) | I/Imax | h k l |
| --- | --- | --- | --- |
| 3.108 | 28.72 | 437 | 6 0 -1 |
| 2.990 | 29.89 | 832 | 3 1 1 |
| 2.955 | 30.25 | 1000 | 1 1 2 |
| 2.728 | 32.83 | 799 | 5 1 -1 |
| 2.589 | 34.64 | 459 | 1 1 -3 |
| 2.340 | 38.47 | 482 | 5 1 -3 |

Atomic structure:
```
data_AcPr3Pd2
_chemical_formula_sum 'Ac4 Pr12 Pd8'
_symmetry_space_group_name_H-M 'C 1 2/m 1'
_symmetry_Int_Tables_number 12
_symmetry_space_group_name_Hall '-C 2y'
_cell_length_a 18.6475
_cell_length_b 4.0075
_cell_length_c 10.2652
_cell_angle_alpha 90.00
_cell_angle_beta 107.99
_cell_angle_gamma 90.00
loop_
_atom_site_label
_atom_site_type_symbol
_atom_site_fract_x
_atom_site_fract_y
_atom_site_fract_z
Ac1 Ac 0.1097 0.0000 0.1279
Pr1 Pr 0.0332 0.0000 0.6703
Pr2 Pr 0.1579 0.5000 0.4873
Pr3 Pr 0.1879 0.5000 0.8673
Pd1 Pd 0.0200 0.5000 0.8750
Pd2 Pd 0.2488 0.0000 0.7088
```